For AlFe2HOs, a cell relaxed with PBE gives the theoretical X-ray powder pattern in this record (a wavelength of 1.5418 Å).
Peak positions follow from Bragg's law for the DFT cell and can differ from measured ones.

Peak list (10 most intense, 2θ = 10–90°, in order of rising 2θ)
hkl 1 0 0, d 3.616, I 44.8
hkl 1 0 1, d 2.706, I 44.6
hkl 1 1 1, d 2.167, I 100.0
hkl 0 0 2, d 2.040, I 21.1
hkl 2 0 0, d 1.808, I 28.7
hkl 1 0 2, d 1.777, I 12.9
hkl 2 1 1, d 1.503, I 15.3
hkl 2 0 2, d 1.353, I 21.4
hkl 1 1 3, d 1.201, I 14.4
hkl 3 1 1, d 1.101, I 22.5

Crystal structure
```
AlFe2HOs
1.0
3.6158 0.0000 0.0000
0.0000 3.6158 0.0000
0.0000 0.0000 4.0799
Al Fe H Os
1 2 1 1
Direct
0.0000 0.0000 0.0000
0.0000 0.5000 0.5000
0.5000 0.0000 0.5000
0.0000 0.0000 0.5000
0.5000 0.5000 0.0000
```